The following is a calculated X-ray powder pattern of V14ReOs. It was derived from a cell relaxed with GGA-PBE, using Cu Kα, 1.54184 Å.

Cell and atoms:
Unit cell a=6.0144 b=8.5051 c=8.4771 alpha=90.00 beta=90.00 gamma=90.00
Space group Cmmm (No. 65)
Inequivalent atoms, fractional coordinates:
V 0.0000 0.0000 0.0000 [2 per cell]
V 0.0000 0.2499 0.2453 [8 per cell]
V 0.0000 0.5000 0.0000 [2 per cell]
V 0.2496 0.0000 0.2491 [8 per cell]
V 0.2500 0.2500 0.0000 [4 per cell]
V 0.2500 0.2500 0.5000 [4 per cell]
Re 0.0000 0.0000 0.5000 [2 per cell]
Os 0.0000 0.5000 0.5000 [2 per cell]

Largest 10 diffraction maxima, most intense first, 10 to 90 degrees two-theta:
2θ (°), d [Å], I_rel
42.5, 2.125, 100
10.4, 8.477, 33
42.7, 2.119, 20
77.8, 1.227, 18
20.9, 4.246, 16
23.4, 3.801, 12
61.8, 1.501, 12
78.0, 1.225, 12
38.2, 2.357, 11
29.7, 3.004, 10